No. 1
Simulated powder diffractogram of Sm4AgPt3 for λ = 1.5418 Å (Cu Kα), from DFT lattice parameters and positions (PBE).
No peak broadening, texture or thermal motion is included.

Main lines, in order of rising 2θ (2θ from 10° to 90°):
- 2.862 Å, intensity 100
- 2.703 Å, intensity 29
- 2.636 Å, intensity 14
- 2.335 Å, intensity 25
- 2.317 Å, intensity 35
- 2.291 Å, intensity 81
- 1.932 Å, intensity 20
- 1.759 Å, intensity 17
- 1.484 Å, intensity 17
- 1.333 Å, intensity 14

Structural model:
```
Sm4AgPt3
1.0
3.8645 0.0000 0.0000
0.0000 4.6344 0.0000
0.0000 0.0000 10.8106
Sm Ag Pt
4 1 3
Direct
0.0000 0.0000 0.0000 Sm
0.0000 0.5000 0.2653 Sm
0.5000 0.0000 0.4814 Sm
0.5000 0.5000 0.7668 Sm
0.0000 0.0000 0.7098 Ag
0.0000 0.5000 0.5439 Pt
0.5000 0.0000 0.2158 Pt
0.5000 0.5000 0.0386 Pt
```

No. 2
Simulated powder diffractogram of LaYSi2Pt2 for λ = 1.5418 Å (Cu Kα), from DFT lattice parameters and positions (PBE).
No peak broadening, texture or thermal motion is included.

Main lines, in order of rising 2θ (2θ from 10° to 90°):
- 4.201 Å, intensity 10
- 3.330 Å, intensity 67
- 2.745 Å, intensity 100
- 2.217 Å, intensity 20
- 2.100 Å, intensity 16
- 2.094 Å, intensity 51
- 1.772 Å, intensity 12
- 1.665 Å, intensity 22
- 1.483 Å, intensity 31
- 1.303 Å, intensity 20

Structural model:
```
LaYSi2Pt2
1.0
4.1874 0.0000 0.0000
-2.0937 3.6264 0.0000
0.0000 0.0000 8.4019
La Y Si Pt
1 1 2 2
Direct
0.0000 0.0000 0.0000 La
0.0000 0.0000 0.5000 Y
0.3333 0.6667 0.2601 Si
0.6667 0.3333 0.7399 Si
0.3333 0.6667 0.7337 Pt
0.6667 0.3333 0.2663 Pt
```

No. 3
Simulated powder diffractogram of K2Ge2Au3 for λ = 1.5418 Å (Cu Kα), from DFT lattice parameters and positions (PBE).
No peak broadening, texture or thermal motion is included.

Main lines, in order of rising 2θ (2θ from 10° to 90°):
- 6.631 Å, intensity 51
- 5.337 Å, intensity 100
- 4.180 Å, intensity 48
- 3.123 Å, intensity 43
- 3.098 Å, intensity 47
- 3.083 Å, intensity 54
- 2.994 Å, intensity 43
- 2.758 Å, intensity 45
- 2.687 Å, intensity 40
- 2.669 Å, intensity 49

Structural model:
```
K2Ge2Au3
1.0
7.0075 0.0000 0.0000
0.0000 6.9653 0.0000
-2.8392 0.0000 8.3071
K Ge Au
4 4 6
Direct
0.2020 0.0942 0.3972 K
0.2020 0.4058 0.8972 K
0.7980 0.5942 0.1028 K
0.7980 0.9058 0.6028 K
0.3538 0.6031 0.5416 Ge
0.3538 0.8969 0.0416 Ge
0.6462 0.1031 0.9584 Ge
0.6462 0.3969 0.4584 Ge
0.0000 0.0000 0.0000 Au
0.0000 0.5000 0.5000 Au
0.4329 0.6795 0.2806 Au
0.4329 0.8205 0.7806 Au
0.5671 0.1795 0.2194 Au
0.5671 0.3205 0.7194 Au
```

No. 4
Simulated powder diffractogram of BaNb8O14 for λ = 1.5418 Å (Cu Kα), from DFT lattice parameters and positions (PBE).
No peak broadening, texture or thermal motion is included.

Main lines, in order of rising 2θ (2θ from 10° to 90°):
- 3.513 Å, intensity 94
- 3.032 Å, intensity 46
- 2.865 Å, intensity 85
- 2.801 Å, intensity 35
- 2.769 Å, intensity 63
- 2.709 Å, intensity 33
- 2.512 Å, intensity 62
- 2.012 Å, intensity 100
- 1.756 Å, intensity 52
- 1.502 Å, intensity 39

Structural model:
```
BaNb8O14
1.0
9.5108 0.0000 0.0000
0.0000 10.3995 0.0000
0.0000 0.0000 6.0257
Ba Nb O
2 16 28
Direct
0.0000 0.0000 0.0000 Ba
0.5000 0.5000 0.0000 Ba
0.1175 0.1642 0.5000 Nb
0.1194 0.6646 0.0000 Nb
0.1237 0.4237 0.2314 Nb
0.1237 0.4237 0.7686 Nb
0.3763 0.9237 0.2314 Nb
0.3763 0.9237 0.7686 Nb
0.3806 0.1646 0.0000 Nb
0.3825 0.6642 0.5000 Nb
0.6175 0.3358 0.5000 Nb
0.6194 0.8354 0.0000 Nb
0.6237 0.0763 0.2314 Nb
0.6237 0.0763 0.7686 Nb
0.8763 0.5763 0.2314 Nb
0.8763 0.5763 0.7686 Nb
0.8806 0.3354 0.0000 Nb
0.8825 0.8358 0.5000 Nb
0.0000 0.0000 0.5000 O
0.0000 0.5000 0.5000 O
0.0056 0.2467 0.2465 O
0.0056 0.2467 0.7535 O
0.2316 0.3226 0.5000 O
0.2441 0.0873 0.2501 O
0.2441 0.0873 0.7499 O
0.2437 0.8443 0.0000 O
0.2563 0.3443 0.0000 O
0.2559 0.5873 0.2501 O
0.2559 0.5873 0.7499 O
0.2684 0.8226 0.5000 O
0.4944 0.7467 0.2465 O
0.4944 0.7467 0.7535 O
0.5000 0.0000 0.5000 O
0.5000 0.5000 0.5000 O
0.5056 0.2533 0.2465 O
0.5056 0.2533 0.7535 O
0.7316 0.1774 0.5000 O
0.7441 0.4127 0.2501 O
0.7441 0.4127 0.7499 O
0.7437 0.6557 0.0000 O
0.7563 0.1557 0.0000 O
0.7559 0.9127 0.2501 O
0.7559 0.9127 0.7499 O
0.7684 0.6774 0.5000 O
0.9944 0.7533 0.2465 O
0.9944 0.7533 0.7535 O
```